[1]
YC6N9: computed powder diffraction line list (Cu Kα (λ = 1.5418 Å)), based on a crystal structure in the Materials Project, relaxed with GGA-PBE.
Peak positions follow from Bragg's law for the DFT cell and can differ from measured ones.

Top 12 peaks for 2θ from 15° to 90°, sorted by position:
two_theta  Rel. int.
15.66  32.4
15.88  100.0
20.93  40.5
26.24  44.7
27.42  42.1
27.85  36.8
29.64  19.6
30.58  22.4
34.64  16.0
36.78  19.6
39.79  17.1
41.41  15.1

Crystal structure
a = 7.1376 Å, b = 7.1376 Å, c = 11.3187 Å
α = 90.00°, β = 90.00°, γ = 115.99°
Positions (direct):
Y: 0.2179 0.7821 0.7500
Y: 0.7821 0.2179 0.2500
C: 0.0581 0.2417 0.7500
C: 0.2057 0.4939 0.0690
C: 0.2057 0.4939 0.4310
C: 0.2417 0.0581 0.2500
C: 0.4939 0.2057 0.5690
C: 0.4939 0.2057 0.9310
C: 0.5061 0.7943 0.0690
C: 0.5061 0.7943 0.4310
C: 0.7583 0.9419 0.7500
C: 0.7943 0.5061 0.5690
C: 0.7943 0.5061 0.9310
C: 0.9419 0.7583 0.2500
N: 0.0399 0.9601 0.2500
N: 0.0583 0.3563 0.1109
N: 0.0583 0.3563 0.3891
N: 0.1576 0.4242 0.7500
N: 0.3563 0.0583 0.6109
N: 0.3563 0.0583 0.8891
N: 0.3605 0.6395 0.0151
N: 0.3605 0.6395 0.4849
N: 0.4242 0.1576 0.2500
N: 0.5758 0.8424 0.7500
N: 0.6395 0.3605 0.5151
N: 0.6395 0.3605 0.9849
N: 0.6437 0.9417 0.1109
N: 0.6437 0.9417 0.3891
N: 0.8424 0.5758 0.2500
N: 0.9417 0.6437 0.6109
N: 0.9417 0.6437 0.8891
N: 0.9601 0.0399 0.7500



[2]
ZnC8N6: computed powder diffraction line list (Cu Kα (λ = 1.5418 Å)), based on a crystal structure in the Materials Project, relaxed with GGA-PBE.
Peak positions follow from Bragg's law for the DFT cell and can differ from measured ones.

Top 12 peaks for 2θ from 15° to 90°, sorted by position:
two_theta  Rel. int.
16.09  24.0
21.25  100.0
24.01  22.5
26.68  23.2
29.04  15.8
32.28  16.1
35.47  10.0
37.05  15.9
40.63  18.7
40.82  9.8
43.29  11.9
49.16  8.0

Crystal structure
a = 12.8398 Å, b = 12.8398 Å, c = 5.5080 Å
α = 90.00°, β = 90.00°, γ = 120.00°
Positions (direct):
Zn: 0.0000 0.0000 0.0000
Zn: 0.3333 0.6667 0.9252
Zn: 0.6667 0.3333 0.9252
C: 0.0000 0.2280 0.9045
C: 0.0000 0.3235 0.7868
C: 0.0000 0.6464 0.3031
C: 0.0000 0.7350 0.4539
C: 0.1064 0.6550 0.2162
C: 0.1093 0.4290 0.7390
C: 0.2280 0.0000 0.9045
C: 0.2650 0.2650 0.4539
C: 0.3196 0.8907 0.7390
C: 0.3235 0.0000 0.7868
C: 0.3450 0.4514 0.2162
C: 0.3536 0.3536 0.3031
C: 0.4290 0.1093 0.7390
C: 0.4514 0.3450 0.2162
C: 0.5486 0.8936 0.2162
C: 0.5710 0.6804 0.7390
C: 0.6464 0.0000 0.3031
C: 0.6550 0.1064 0.2162
C: 0.6765 0.6765 0.7868
C: 0.6804 0.5710 0.7390
C: 0.7350 0.0000 0.4539
C: 0.7720 0.7720 0.9045
C: 0.8907 0.3196 0.7390
C: 0.8936 0.5486 0.2162
N: 0.0000 0.1494 0.0134
N: 0.0000 0.8097 0.5770
N: 0.1494 0.0000 0.0134
N: 0.1903 0.1903 0.5770
N: 0.1912 0.6560 0.1356
N: 0.2004 0.5178 0.7051
N: 0.3174 0.7996 0.7051
N: 0.3440 0.5352 0.1356
N: 0.4648 0.8088 0.1356
N: 0.4822 0.6826 0.7051
N: 0.5178 0.2004 0.7051
N: 0.5352 0.3440 0.1356
N: 0.6560 0.1912 0.1356
N: 0.6826 0.4822 0.7051
N: 0.7996 0.3174 0.7051
N: 0.8088 0.4648 0.1356
N: 0.8097 0.0000 0.5770
N: 0.8506 0.8506 0.0134



[3]
ZnC4N6: computed powder diffraction line list (Cu Kα (λ = 1.5418 Å)), based on a crystal structure in the Materials Project, relaxed with GGA-PBE.
Peak positions follow from Bragg's law for the DFT cell and can differ from measured ones.

Top 12 peaks for 2θ from 15° to 90°, sorted by position:
two_theta  Rel. int.
17.85  10.0
18.61  24.8
23.10  62.8
24.87  16.6
27.45  100.0
29.84  22.2
43.38  21.4
44.73  8.9
45.72  14.4
56.69  7.1
57.49  7.0
66.13  7.4

Crystal structure
a = 7.7079 Å, b = 7.6923 Å, c = 12.1368 Å
α = 90.00°, β = 90.00°, γ = 90.00°
Positions (direct):
Zn: 0.2309 0.2500 0.1516
Zn: 0.2691 0.7500 0.6516
Zn: 0.7309 0.2500 0.3484
Zn: 0.7691 0.7500 0.8484
C: 0.0817 0.2500 0.4775
C: 0.1220 0.7500 0.9747
C: 0.2229 0.1011 0.7722
C: 0.2229 0.3989 0.7722
C: 0.2771 0.6011 0.2722
C: 0.2771 0.8989 0.2722
C: 0.3780 0.2500 0.4747
C: 0.4183 0.7500 0.9775
C: 0.5817 0.2500 0.0225
C: 0.6220 0.7500 0.5253
C: 0.7229 0.1011 0.7278
C: 0.7229 0.3989 0.7278
C: 0.7771 0.6011 0.2278
C: 0.7771 0.8989 0.2278
C: 0.8780 0.2500 0.0253
C: 0.9183 0.7500 0.5225
N: 0.0178 0.2500 0.0638
N: 0.0604 0.7500 0.5576
N: 0.1719 0.2500 0.8076
N: 0.2309 0.2500 0.5253
N: 0.2377 0.0415 0.2468
N: 0.2377 0.4585 0.2468
N: 0.2623 0.5415 0.7468
N: 0.2623 0.9585 0.7468
N: 0.2691 0.7500 0.0253
N: 0.3281 0.7500 0.3076
N: 0.4396 0.2500 0.0576
N: 0.4822 0.7500 0.5638
N: 0.5178 0.2500 0.4362
N: 0.5604 0.7500 0.9424
N: 0.6719 0.2500 0.6924
N: 0.7309 0.2500 0.9747
N: 0.7377 0.0415 0.2532
N: 0.7377 0.4585 0.2532
N: 0.7623 0.5415 0.7532
N: 0.7623 0.9585 0.7532
N: 0.7691 0.7500 0.4747
N: 0.8281 0.7500 0.1924
N: 0.9396 0.2500 0.4424
N: 0.9822 0.7500 0.9362



[4]
ZnC8N6: computed powder diffraction line list (Cu Kα (λ = 1.5418 Å)), based on a crystal structure in the Materials Project, relaxed with GGA-PBE.
Peak positions follow from Bragg's law for the DFT cell and can differ from measured ones.

Top 12 peaks for 2θ from 15° to 90°, sorted by position:
two_theta  Rel. int.
16.65  17.3
21.96  100.0
23.48  50.0
23.75  13.7
26.36  15.0
27.81  21.2
30.14  31.1
30.24  20.6
33.64  30.3
41.25  13.6
43.86  15.8
44.77  17.1

Crystal structure
a = 7.4919 Å, b = 5.3926 Å, c = 10.6517 Å
α = 90.00°, β = 90.00°, γ = 90.00°
Positions (direct):
Zn: 0.0000 0.0000 0.0000
Zn: 0.5000 0.0000 0.5000
C: 0.0000 0.3930 0.2518
C: 0.0000 0.4144 0.6589
C: 0.0000 0.5856 0.3411
C: 0.0000 0.6070 0.7482
C: 0.1595 0.3086 0.6157
C: 0.1595 0.6914 0.3843
C: 0.3405 0.3086 0.8843
C: 0.3405 0.6914 0.1157
C: 0.5000 0.3930 0.2482
C: 0.5000 0.4144 0.8411
C: 0.5000 0.5856 0.1589
C: 0.5000 0.6070 0.7518
C: 0.6595 0.3086 0.8843
C: 0.6595 0.6914 0.1157
C: 0.8405 0.3086 0.6157
C: 0.8405 0.6914 0.3843
N: 0.0000 0.2346 0.1766
N: 0.0000 0.7654 0.8234
N: 0.2100 0.2168 0.9226
N: 0.2100 0.7832 0.0774
N: 0.2900 0.2168 0.5774
N: 0.2900 0.7832 0.4226
N: 0.5000 0.2346 0.3234
N: 0.5000 0.7654 0.6766
N: 0.7100 0.2168 0.5774
N: 0.7100 0.7832 0.4226
N: 0.7900 0.2168 0.9226
N: 0.7900 0.7832 0.0774



[5]
Zr4CN3: computed powder diffraction line list (Cu Kα (λ = 1.5418 Å)), based on a crystal structure in the Materials Project, relaxed with GGA-PBE.
Peak positions follow from Bragg's law for the DFT cell and can differ from measured ones.

Top 6 peaks for 2θ from 15° to 90°, sorted by position:
two_theta  Rel. int.
33.41  100.0
38.76  85.7
55.98  54.8
66.78  41.2
70.17  17.7
83.17  8.2

Crystal structure
a = 10.8901 Å, b = 10.8901 Å, c = 10.8901 Å
α = 17.36°, β = 17.36°, γ = 17.36°
Positions (direct):
Zr: 0.1253 0.1253 0.1253
Zr: 0.3743 0.3743 0.3743
Zr: 0.6257 0.6257 0.6257
Zr: 0.8747 0.8747 0.8747
C: 0.5000 0.5000 0.5000
N: 0.0000 0.0000 0.0000
N: 0.2515 0.2515 0.2515
N: 0.7485 0.7485 0.7485



[6]
Zr4C3N: computed powder diffraction line list (Cu Kα (λ = 1.5418 Å)), based on a crystal structure in the Materials Project, relaxed with GGA-PBE.
Peak positions follow from Bragg's law for the DFT cell and can differ from measured ones.

Top 6 peaks for 2θ from 15° to 90°, sorted by position:
two_theta  Rel. int.
32.99  100.0
38.28  80.7
55.25  52.0
65.87  41.0
69.20  16.9
81.95  7.8

Crystal structure
a = 11.0188 Å, b = 11.0188 Å, c = 11.0188 Å
α = 17.37°, β = 17.37°, γ = 17.37°
Positions (direct):
Zr: 0.1239 0.1239 0.1239
Zr: 0.3745 0.3745 0.3745
Zr: 0.6255 0.6255 0.6255
Zr: 0.8761 0.8761 0.8761
C: 0.0000 0.0000 0.0000
C: 0.2484 0.2484 0.2484
C: 0.7516 0.7516 0.7516
N: 0.5000 0.5000 0.5000